Simulated X-ray diffraction stick pattern of La12Tb3Nd for Cu Kα (λ = 1.5418 Å), from a structure optimized by DFT (PBE).
Kinematic intensities with the Lorentz-polarization factor, no thermal factor.

Main lines, sorted by position (2θ = 10–90°):
h k l  two_theta  d/Å  I (rel.)
1 1 4  29.6  3.015  100
2 0 0  34.3  2.611  51
2 2 0  49.4  1.846  36
3 1 4  58.6  1.575  43
2 2 8  61.5  1.508  12
4 0 0  72.4  1.306  6
3 3 4  80.1  1.198  18
4 2 0  82.6  1.168  16

```
La12Tb3Nd
1.0
5.2235 0.0000 0.0000
0.0000 5.2235 0.0000
0.0000 0.0000 20.8812
La Tb Nd
12 3 1
Direct
0.0000 0.0000 0.0000 La
0.0000 0.0000 0.2490 La
0.0000 0.0000 0.5000 La
0.0000 0.0000 0.7510 La
0.0000 0.5000 0.1244 La
0.0000 0.5000 0.3736 La
0.0000 0.5000 0.6264 La
0.0000 0.5000 0.8756 La
0.5000 0.0000 0.1244 La
0.5000 0.0000 0.3736 La
0.5000 0.0000 0.6264 La
0.5000 0.0000 0.8756 La
0.5000 0.5000 0.0000 Tb
0.5000 0.5000 0.2490 Tb
0.5000 0.5000 0.7510 Tb
0.5000 0.5000 0.5000 Nd
```